No. 1
SrLiF: computed powder XRD pattern (Cu Kα (λ = 1.5418 Å)), based on a DFT-relaxed cell (PBE, Alexandria).
Lines closer than 0.1° are merged.

Crystal structure
Cell lengths 3.9695, 3.9695, 18.6944 Å; angles 90.00, 90.00, 90.00 degrees
Space group I4/mmm (No. 139)
Symmetry-distinct sites (fractional):
Sr1 0.0000 0.0000 0.0866 x4
Li1 0.0000 0.0000 0.2743 x4
F1 0.0000 0.5000 0.0000 x4

Main lines, by intensity (2θ from 10° to 90°):
Position (°2θ)  d [Å]  I_rel
22.9  3.883  100
32.9  2.722  50
43.4  2.085  39
37.4  2.406  22
51.7  1.767  22
31.9  2.807  21
57.5  1.604  20
45.7  1.985  18



No. 2
SrLi2ZnF7: computed powder XRD pattern (Cu Kα (λ = 1.5418 Å)), based on a DFT-relaxed cell (PBE, Alexandria).
Lines closer than 0.1° are merged.

Crystal structure
Cell lengths 4.0141, 4.0141, 16.2906 Å; angles 90.00, 90.00, 90.00 degrees
Space group I-4m2 (No. 119)
Symmetry-distinct sites (fractional):
Sr1 0.0000 0.0000 0.0000 x2
Li1 0.0000 0.0000 0.3805 x4
Zn1 0.0000 0.5000 0.2500 x2
F1 0.0000 0.0000 0.2604 x4
F2 0.0000 0.0000 0.5000 x2
F3 0.0000 0.5000 0.1242 x4
F4 0.0000 0.5000 0.5929 x4

Main lines, by intensity (2θ from 10° to 90°):
Position (°2θ)  d [Å]  I_rel
22.8  3.898  100
27.6  3.228  91
45.2  2.007  78
33.4  2.680  63
21.8  4.073  58
46.3  1.962  51
38.7  2.329  45
65.3  1.429  33



No. 3
LiTbF2: computed powder XRD pattern (Cu Kα (λ = 1.5418 Å)), based on a DFT-relaxed cell (PBE, Alexandria).
Lines closer than 0.1° are merged.

Crystal structure
Cell lengths 6.6897, 6.6897, 12.7410 Å; angles 90.00, 90.00, 90.00 degrees
Space group I4_1/amd (No. 141, origin choice 2)
Symmetry-distinct sites (fractional):
Li1 0.0000 0.0000 0.0000 x8
Tb1 0.0000 0.0000 0.5000 x8
F1 0.0000 0.0288 0.3143 x16

Main lines, by intensity (2θ from 10° to 90°):
Position (°2θ)  d [Å]  I_rel
15.0  5.923  100
30.2  2.961  44
30.7  2.913  30
38.0  2.365  26
50.9  1.793  20
28.0  3.185  19
47.9  1.899  18
24.8  3.585  13



No. 4
LiTcF: computed powder XRD pattern (Cu Kα (λ = 1.5418 Å)), based on a DFT-relaxed cell (PBE, Alexandria).
Lines closer than 0.1° are merged.

Crystal structure
Cell lengths 4.8432, 2.7969, 10.1932 Å; angles 90.00, 90.08, 90.00 degrees
Space group Cm (No. 8)
Symmetry-distinct sites (fractional):
Li1 0.0000 0.0000 0.0000 x2
Li2 0.0017 0.0000 0.7553 x2
Tc1 0.1689 0.5000 0.5027 x2
Tc2 0.3349 0.0000 0.3071 x2
F1 0.1684 0.5000 0.8546 x2
F2 0.3339 0.0000 0.0916 x2

Main lines, by intensity (2θ from 10° to 90°):
Position (°2θ)  d [Å]  I_rel
38.2  2.356  100
46.0  1.972  91
41.3  2.187  86
52.1  1.756  34
37.1  2.422  32
17.4  5.097  30
35.2  2.548  26
66.9  1.398  26



No. 5
LiTcF: computed powder XRD pattern (Cu Kα (λ = 1.5418 Å)), based on a DFT-relaxed cell (PBE, Alexandria).
Lines closer than 0.1° are merged.

Crystal structure
Cell lengths 2.8015, 2.8015, 30.3416 Å; angles 90.00, 90.00, 120.00 degrees
Space group R3m (No. 160, hexagonal axes)
Symmetry-distinct sites (fractional):
Li1 0.0000 0.0000 0.0000 x3
Li2 0.0000 0.0000 0.4130 x3
Tc1 0.0000 0.0000 0.1830 x3
Tc2 0.0000 0.0000 0.5819 x3
F1 0.0000 0.0000 0.1106 x3
F2 0.0000 0.0000 0.6991 x3

Main lines, by intensity (2θ from 10° to 90°):
Position (°2θ)  d [Å]  I_rel
37.5  2.396  100
40.0  2.253  76
48.0  1.895  61
44.3  2.044  51
42.7  2.117  42
17.5  5.057  32
35.5  2.528  30
66.8  1.401  29



No. 6
LiTcF: computed powder XRD pattern (Cu Kα (λ = 1.5418 Å)), based on a DFT-relaxed cell (PBE, Alexandria).
Lines closer than 0.1° are merged.

Crystal structure
Cell lengths 4.8691, 2.8023, 10.1648 Å; angles 90.00, 90.16, 90.00 degrees
Space group Cm (No. 8)
Symmetry-distinct sites (fractional):
Li1 0.0000 0.0000 0.0000 x2
Li2 0.1691 0.5000 0.2382 x2
Tc1 0.0048 0.0000 0.5460 x2
Tc2 0.1712 0.5000 0.7403 x2
F1 0.0024 0.0000 0.3296 x2
F2 0.3333 0.0000 0.0965 x2

Main lines, by intensity (2θ from 10° to 90°):
Position (°2θ)  d [Å]  I_rel
41.2  2.191  100
38.1  2.362  99
46.0  1.974  86
52.1  1.756  68
38.0  2.369  50
41.1  2.196  50
17.4  5.082  46
35.3  2.541  37



No. 7
Li3Tl2TcF12: computed powder XRD pattern (Cu Kα (λ = 1.5418 Å)), based on a DFT-relaxed cell (PBE, Alexandria).
Lines closer than 0.1° are merged.

Crystal structure
Cell lengths 6.6524, 6.6524, 22.0318 Å; angles 90.00, 90.00, 120.00 degrees
Space group R-3m (No. 166, hexagonal axes)
Symmetry-distinct sites (fractional):
Li1 0.0000 0.5000 0.0000 x9
Tl1 0.0000 0.0000 0.0758 x6
Tc1 0.0000 0.0000 0.5000 x3
F1 0.0356 0.5178 0.3686 x18
F2 0.0644 0.5322 0.1173 x18

Main lines, by intensity (2θ from 10° to 90°):
Position (°2θ)  d [Å]  I_rel
17.4  5.105  100
25.4  3.500  60
26.8  3.326  57
15.9  5.574  42
32.4  2.762  37
51.0  1.791  31
42.5  2.125  25
32.1  2.787  24



No. 8
LiTl2TcF6: computed powder XRD pattern (Cu Kα (λ = 1.5418 Å)), based on a DFT-relaxed cell (PBE, Alexandria).
Lines closer than 0.1° are merged.

Crystal structure
Cell lengths 5.8955, 6.0346, 8.5101 Å; angles 90.00, 90.00, 90.00 degrees
Space group Immm (No. 71)
Symmetry-distinct sites (fractional):
Li1 0.0000 0.0000 0.0000 x2
Tl1 0.0000 0.5000 0.2472 x4
Tc1 0.0000 0.0000 0.5000 x2
F1 0.0000 0.0000 0.2542 x4
F2 0.2391 0.2468 0.5000 x8

Main lines, by intensity (2θ from 10° to 90°):
Position (°2θ)  d [Å]  I_rel
29.8  2.995  100
42.9  2.109  33
21.1  4.217  33
52.7  1.738  32
29.6  3.017  25
30.3  2.948  24
36.5  2.461  23
37.1  2.423  22